This entry pairs a crystal structure of Sc2O3 with its theoretical PXRD pattern. Radiation: Cu Ka. Structure: the GGA-PBE geometry in the Materials Project.
Kinematic intensities with the Lorentz-polarization factor, no thermal factor.

Atomic structure:
Unit cell a=6.8869 b=6.8869 c=8.0509 alpha=100.36 beta=100.36 gamma=26.99
Element x y z (fractional)
Sc (0.0308, 0.0308, 0.3160)
Sc (0.3080, 0.3080, 0.3637)
Sc (0.3637, 0.3637, 0.0128)
Sc (0.6363, 0.6363, 0.9872)
Sc (0.6920, 0.6920, 0.6363)
Sc (0.9692, 0.9692, 0.6840)
O (0.1256, 0.1256, 0.7794)
O (0.1737, 0.1737, 0.4649)
O (0.2100, 0.2100, 0.1212)
O (0.4658, 0.4658, 0.8410)
O (0.5000, 0.5000, 0.5000)
O (0.5342, 0.5342, 0.1590)
O (0.7900, 0.7900, 0.8788)
O (0.8263, 0.8263, 0.5351)
O (0.8744, 0.8744, 0.2206)

Principal peaks in the range 2θ = 10–90°, by intensity:
- 31.3°, intensity 100
- 35.8°, intensity 54
- 32.0°, intensity 44
- 52.1°, intensity 43
- 46.3°, intensity 43
- 60.0°, intensity 30
- 57.9°, intensity 26
- 57.3°, intensity 25
- 34.6°, intensity 16
- 41.1°, intensity 14

---

This entry pairs a crystal structure of AcCdRh2 with its theoretical PXRD pattern. Radiation: Cu Ka. Structure: the GGA-PBE geometry in the Materials Project.
Kinematic intensities with the Lorentz-polarization factor, no thermal factor.

Atomic structure:
Unit cell a=4.9207 b=4.9207 c=4.9207 alpha=60.00 beta=60.00 gamma=60.00
Element x y z (fractional)
Ac (0.0000, 0.0000, 0.0000)
Cd (0.5000, 0.5000, 0.5000)
Rh (0.2500, 0.2500, 0.2500)
Rh (0.7500, 0.7500, 0.7500)

Principal peaks in the range 2θ = 10–90°, by intensity:
- 36.5°, intensity 100
- 65.7°, intensity 35
- 52.6°, intensity 17
- 89.0°, intensity 16
- 77.6°, intensity 11
- 22.1°, intensity 8
- 25.6°, intensity 6
- 43.1°, intensity 5
- 59.4°, intensity 3
- 57.7°, intensity 2

---

This entry pairs a crystal structure of Li2Cu3F9 with its theoretical PXRD pattern. Radiation: Cu Ka. Structure: the GGA-PBE geometry in the Materials Project.
Kinematic intensities with the Lorentz-polarization factor, no thermal factor.

Atomic structure:
Unit cell a=5.9074 b=7.6219 c=8.0859 alpha=106.37 beta=94.78 gamma=100.95
Element x y z (fractional)
Li (0.0771, 0.1261, 0.2378)
Li (0.1567, 0.8733, 0.5531)
Li (0.8433, 0.1267, 0.4469)
Li (0.9229, 0.8739, 0.7622)
Cu (0.0382, 0.4360, 0.8194)
Cu (0.4883, 0.7425, 0.4762)
Cu (0.4972, 0.7489, 0.9886)
Cu (0.5028, 0.2511, 0.0114)
Cu (0.5117, 0.2575, 0.5238)
Cu (0.9618, 0.5640, 0.1806)
F (0.0100, 0.2808, 0.0176)
F (0.0397, 0.1305, 0.6769)
F (0.0636, 0.6484, 0.6746)
F (0.2529, 0.6542, 0.3869)
F (0.2789, 0.1407, 0.4363)
F (0.3319, 0.9744, 0.9442)
F (0.3339, 0.4688, 0.9473)
F (0.4895, 0.8259, 0.2584)
F (0.4902, 0.6648, 0.7008)
F (0.5098, 0.3352, 0.2992)
F (0.5105, 0.1741, 0.7416)
F (0.6661, 0.5312, 0.0527)
F (0.6681, 0.0256, 0.0558)
F (0.7211, 0.8593, 0.5637)
F (0.7471, 0.3458, 0.6131)
F (0.9364, 0.3516, 0.3254)
F (0.9603, 0.8695, 0.3231)
F (0.9900, 0.7192, 0.9824)

Principal peaks in the range 2θ = 10–90°, by intensity:
- 26.0°, intensity 100
- 26.3°, intensity 69
- 31.2°, intensity 69
- 12.4°, intensity 41
- 44.6°, intensity 35
- 15.4°, intensity 33
- 46.4°, intensity 33
- 14.2°, intensity 31
- 25.0°, intensity 28
- 23.2°, intensity 25

---

This entry pairs a crystal structure of Ba2LiGe3 with its theoretical PXRD pattern. Radiation: Cu Ka. Structure: the GGA-PBE geometry in the Materials Project.
Kinematic intensities with the Lorentz-polarization factor, no thermal factor.

Atomic structure:
Unit cell a=12.5664 b=10.8333 c=8.9816 alpha=78.10 beta=57.52 gamma=44.38
Element x y z (fractional)
Ba (0.0010, 0.0010, 0.2490)
Ba (0.2490, 0.2490, 0.0010)
Ba (0.2527, 0.2527, 0.4973)
Ba (0.4973, 0.4973, 0.2527)
Ba (0.5027, 0.5027, 0.7473)
Ba (0.7473, 0.7473, 0.5027)
Ba (0.7510, 0.7510, 0.9990)
Ba (0.9990, 0.9990, 0.7510)
Li (0.0430, 0.7070, 0.0430)
Li (0.2930, 0.9570, 0.2930)
Li (0.7070, 0.0430, 0.7070)
Li (0.9570, 0.2930, 0.9570)
Ge (0.0518, 0.7060, 0.5347)
Ge (0.2074, 0.5347, 0.7060)
Ge (0.2114, 0.5386, 0.2114)
Ge (0.2940, 0.9482, 0.7926)
Ge (0.4614, 0.7886, 0.4614)
Ge (0.4653, 0.7926, 0.9482)
Ge (0.5347, 0.2074, 0.0518)
Ge (0.5386, 0.2114, 0.5386)
Ge (0.7060, 0.0518, 0.2074)
Ge (0.7886, 0.4614, 0.7886)
Ge (0.7926, 0.4653, 0.2940)
Ge (0.9482, 0.2940, 0.4653)

Principal peaks in the range 2θ = 10–90°, by intensity:
- 29.3°, intensity 100
- 55.4°, intensity 27
- 40.2°, intensity 24
- 36.4°, intensity 16
- 50.5°, intensity 14
- 22.9°, intensity 14
- 66.4°, intensity 13
- 40.3°, intensity 12
- 61.2°, intensity 12
- 50.4°, intensity 7

---

This entry pairs a crystal structure of Y7ReO14 with its theoretical PXRD pattern. Radiation: Cu Ka. Structure: the GGA-PBE geometry in the Materials Project.
Kinematic intensities with the Lorentz-polarization factor, no thermal factor.

Atomic structure:
Unit cell a=7.7102 b=7.7102 c=7.7102 alpha=58.58 beta=58.58 gamma=58.58
Element x y z (fractional)
Y (0.0000, 0.0000, 0.0000)
Y (0.0000, 0.0000, 0.5000)
Y (0.0000, 0.5000, 0.0000)
Y (0.0000, 0.5000, 0.5000)
Y (0.5000, 0.0000, 0.0000)
Y (0.5000, 0.0000, 0.5000)
Y (0.5000, 0.5000, 0.0000)
Re (0.5000, 0.5000, 0.5000)
O (0.1353, 0.1353, 0.1353)
O (0.1357, 0.1357, 0.5961)
O (0.1357, 0.5961, 0.1357)
O (0.2026, 0.5701, 0.5701)
O (0.4039, 0.8643, 0.8643)
O (0.4299, 0.4299, 0.7974)
O (0.4299, 0.7974, 0.4299)
O (0.5701, 0.2026, 0.5701)
O (0.5701, 0.5701, 0.2026)
O (0.5961, 0.1357, 0.1357)
O (0.7974, 0.4299, 0.4299)
O (0.8643, 0.4039, 0.8643)
O (0.8643, 0.8643, 0.4039)
O (0.8647, 0.8647, 0.8647)

Principal peaks in the range 2θ = 10–90°, by intensity:
- 28.9°, intensity 100
- 33.2°, intensity 37
- 47.2°, intensity 35
- 28.1°, intensity 32
- 48.3°, intensity 31
- 56.7°, intensity 28
- 55.8°, intensity 16
- 57.2°, intensity 13
- 78.0°, intensity 11
- 69.8°, intensity 9

---

This entry pairs a crystal structure of RbMg with its theoretical PXRD pattern. Radiation: Cu Ka. Structure: the GGA-PBE geometry in the Materials Project.
Kinematic intensities with the Lorentz-polarization factor, no thermal factor.

Atomic structure:
Unit cell a=5.4266 b=7.7998 c=7.7998 alpha=99.91 beta=90.00 gamma=90.00
Element x y z (fractional)
Rb (0.0000, 0.0000, 0.0000)
Rb (0.5000, 0.1478, 0.5411)
Rb (0.5000, 0.5411, 0.1478)
Mg (0.0000, 0.5009, 0.7550)
Mg (0.0000, 0.7550, 0.5009)
Mg (0.5000, 0.6741, 0.6741)

Principal peaks in the range 2θ = 10–90°, by intensity:
- 24.2°, intensity 100
- 24.1°, intensity 75
- 22.1°, intensity 74
- 20.0°, intensity 67
- 23.2°, intensity 63
- 29.2°, intensity 61
- 28.5°, intensity 51
- 38.9°, intensity 49
- 27.7°, intensity 42
- 33.0°, intensity 40

---

What did the first record say?
This entry pairs a crystal structure of Sc2O3 with its theoretical PXRD pattern. Radiation: Cu Ka. Structure: the GGA-PBE geometry in the Materials Project.
Kinematic intensities with the Lorentz-polarization factor, no thermal factor.

Atomic structure:
Unit cell a=6.8869 b=6.8869 c=8.0509 alpha=100.36 beta=100.36 gamma=26.99
Element x y z (fractional)
Sc (0.0308, 0.0308, 0.3160)
Sc (0.3080, 0.3080, 0.3637)
Sc (0.3637, 0.3637, 0.0128)
Sc (0.6363, 0.6363, 0.9872)
Sc (0.6920, 0.6920, 0.6363)
Sc (0.9692, 0.9692, 0.6840)
O (0.1256, 0.1256, 0.7794)
O (0.1737, 0.1737, 0.4649)
O (0.2100, 0.2100, 0.1212)
O (0.4658, 0.4658, 0.8410)
O (0.5000, 0.5000, 0.5000)
O (0.5342, 0.5342, 0.1590)
O (0.7900, 0.7900, 0.8788)
O (0.8263, 0.8263, 0.5351)
O (0.8744, 0.8744, 0.2206)

Principal peaks in the range 2θ = 10–90°, by intensity:
- 31.3°, intensity 100
- 35.8°, intensity 54
- 32.0°, intensity 44
- 52.1°, intensity 43
- 46.3°, intensity 43
- 60.0°, intensity 30
- 57.9°, intensity 26
- 57.3°, intensity 25
- 34.6°, intensity 16
- 41.1°, intensity 14